Starting from a cell relaxed with PBE, the powder diffraction line list of Al11Ni2 was calculated for Cu Kα (weighted mean of Kα1 and Kα2).
Lines closer than 0.1° are merged.

Largest 10 diffraction maxima, sorted by position, 10 to 90 degrees two-theta:
two_theta	d_spacing	I_rel
18.94	4.685	689
35.05	2.560	960
37.90	2.374	385
38.43	2.342	545
40.81	2.211	1000
43.90	2.062	735
46.81	1.941	689
48.56	1.875	329
74.06	1.280	410
86.68	1.123	297

Structure:
abc: 5.1202 5.1202 28.1072
angles: 90.00 90.00 120.00
Space group R-3m (No. 166, hexagonal axes)
One atom of each set of equivalent atoms:
Al: 0.0000 0.0000 0.0000
Al: 0.0000 0.0000 0.1658
Al: 0.0000 0.0000 0.3465
Al: 0.0019 0.5010 0.4153
Ni: 0.0000 0.0000 0.4330